1.
Computed PXRD pattern
Compound: Pa2Si4PdPt3
Radiation: Cu Kα, 1.54184 Å
Structure: a GGA-PBE-relaxed structure

```
Pa2Si4PdPt3
1.0
4.2429 0.0000 0.0000
0.0000 4.2429 0.0000
0.0000 0.0000 9.6916
Pa Si Pd Pt
2 4 1 3
Direct
0.0000 0.5000 0.2498 Pa
0.5000 0.0000 0.7502 Pa
0.0000 0.0000 0.0000 Si
0.0000 0.5000 0.6324 Si
0.5000 0.0000 0.3676 Si
0.5000 0.5000 0.0000 Si
0.0000 0.0000 0.5000 Pd
0.0000 0.5000 0.8794 Pt
0.5000 0.0000 0.1206 Pt
0.5000 0.5000 0.5000 Pt
```

Largest 8 diffraction maxima, by angle, 2θ = 10–90°:
(1 0 2), 27.95 deg, rel. 32; (1 1 0), 29.78 deg, rel. 35; (1 1 1), 31.21 deg, rel. 51; (1 0 3), 34.91 deg, rel. 100; (1 1 2), 35.18 deg, rel. 100; (2 0 0), 42.62 deg, rel. 73; (1 0 5), 51.86 deg, rel. 29; (2 1 3), 56.22 deg, rel. 52

---

2.
Computed PXRD pattern
Compound: ZrPaPdPt
Radiation: Cu Kα, 1.54184 Å
Structure: a GGA-PBE-relaxed structure

```
ZrPaPdPt
1.0
4.4651 0.0000 0.0000
0.0000 3.5556 0.0000
0.0000 0.0000 10.5409
Zr Pa Pd Pt
2 2 2 2
Direct
0.0000 0.0000 0.0000 Zr
0.0000 0.5000 0.5000 Zr
0.5000 0.0000 0.7158 Pa
0.5000 0.5000 0.2158 Pa
0.0000 0.0000 0.2666 Pd
0.0000 0.5000 0.7666 Pd
0.5000 0.0000 0.4453 Pt
0.5000 0.5000 0.9453 Pt
```

Largest 8 diffraction maxima, by angle, 2θ = 10–90°:
(1 0 0), 19.88 deg, rel. 23; (1 1 1), 33.32 deg, rel. 100; (0 0 4), 34.02 deg, rel. 34; (0 1 3), 35.93 deg, rel. 21; (1 0 4), 39.72 deg, rel. 30; (2 0 0), 40.40 deg, rel. 34; (1 1 3), 41.40 deg, rel. 70; (2 0 4), 53.82 deg, rel. 19